# PmBeO3
Simulated powder X-ray diffraction pattern, λ = 1.5418 Å (Cu Kα). Input: a GGA-PBE-relaxed structure.

Crystal structure
Lattice parameters (Å, degrees): 3.6385 3.6385 3.6385 90.00 90.00 90.00
Positions (direct):
1 Pm 0.0000 0.0000 0.0000
2 Be 0.5000 0.5000 0.5000
3 O 0.0000 0.5000 0.5000
4 O 0.5000 0.0000 0.5000
5 O 0.5000 0.5000 0.0000

Main lines, in order of rising 2θ (10° ≤ 2θ ≤ 90°):
- (1 0 0), 2θ = 24.5°, I = 99.8
- (1 1 0), 2θ = 34.9°, I = 100.0
- (1 1 1), 2θ = 43.1°, I = 70.4
- (2 0 0), 2θ = 50.1°, I = 37.0
- (2 1 0), 2θ = 56.6°, I = 43.8
- (2 1 1), 2θ = 62.5°, I = 38.7



# Pr9Be4O20
Simulated powder X-ray diffraction pattern, λ = 1.5418 Å (Cu Kα). Input: a GGA-PBE-relaxed structure.

Crystal structure
Lattice parameters (Å, degrees): 6.5372 7.3261 9.5306 89.99 89.45 89.46
Positions (direct):
1 Pr 0.0000 0.0000 0.0000
2 Pr 0.0066 0.4627 0.0059
3 Pr 0.0201 0.7359 0.3130
4 Pr 0.3329 0.7314 0.7901
5 Pr 0.3441 0.0416 0.4999
6 Pr 0.4956 0.5402 0.1754
7 Pr 0.5238 0.2267 0.8659
8 Pr 0.8185 0.2347 0.3639
9 Pr 0.8515 0.5331 0.6547
10 Be 0.1012 0.2299 0.7295
11 Be 0.2356 0.2273 0.2195
12 Be 0.5936 0.7300 0.4440
13 Be 0.7286 0.7300 0.9384
14 O 0.0434 0.2541 0.5634
15 O 0.0977 0.0525 0.2688
16 O 0.1140 0.4274 0.2510
17 O 0.1202 0.7575 0.5587
18 O 0.2074 0.4285 0.7776
19 O 0.2422 0.7198 0.0498
20 O 0.2492 0.0541 0.7606
21 O 0.2680 0.2349 0.0499
22 O 0.3795 0.7436 0.3632
23 O 0.4473 0.2511 0.3081
24 O 0.5729 0.7640 0.6081
25 O 0.6120 0.2623 0.6047
26 O 0.6150 0.5475 0.8912
27 O 0.6297 0.9220 0.9083
28 O 0.7034 0.9267 0.4101
29 O 0.7396 0.5585 0.4019
30 O 0.7492 0.2690 0.1079
31 O 0.7975 0.7179 0.1061
32 O 0.8987 0.2381 0.8317
33 O 0.9497 0.7367 0.8466

Main lines, in order of rising 2θ (10° ≤ 2θ ≤ 90°):
- (0 1 -2), 2θ = 22.3°, I = 55.8
- (1 2 1), 2θ = 29.4°, I = 58.9
- (-1 2 1), 2θ = 29.6°, I = 50.1
- (0 2 -2), 2θ = 30.8°, I = 62.9
- (1 0 3), 2θ = 31.2°, I = 54.4
- (1 0 -3), 2θ = 31.4°, I = 100.0



# BePtO3
Simulated powder X-ray diffraction pattern, λ = 1.5418 Å (Cu Kα). Input: a GGA-PBE-relaxed structure.

Crystal structure
Lattice parameters (Å, degrees): 3.5027 3.5027 3.5027 90.00 90.00 90.00
Positions (direct):
1 Be 0.0000 0.0000 0.0000
2 Pt 0.5000 0.5000 0.5000
3 O 0.0000 0.0000 0.5000
4 O 0.0000 0.5000 0.0000
5 O 0.5000 0.0000 0.0000

Main lines, in order of rising 2θ (10° ≤ 2θ ≤ 90°):
- (1 0 0), 2θ = 25.4°, I = 100.0
- (1 1 0), 2θ = 36.3°, I = 95.0
- (1 1 1), 2θ = 44.8°, I = 57.7
- (2 0 0), 2θ = 52.2°, I = 29.8
- (2 1 0), 2θ = 59.0°, I = 43.2
- (2 1 1), 2θ = 65.2°, I = 36.6



# RbBeO3
Simulated powder X-ray diffraction pattern, λ = 1.5418 Å (Cu Kα). Input: a GGA-PBE-relaxed structure.

Crystal structure
Lattice parameters (Å, degrees): 3.8811 3.8811 3.8811 90.00 90.00 90.00
Positions (direct):
1 Rb 0.0000 0.0000 0.0000
2 Be 0.5000 0.5000 0.5000
3 O 0.0000 0.5000 0.5000
4 O 0.5000 0.0000 0.5000
5 O 0.5000 0.5000 0.0000

Main lines, in order of rising 2θ (10° ≤ 2θ ≤ 90°):
- (1 0 0), 2θ = 22.9°, I = 76.5
- (1 1 0), 2θ = 32.6°, I = 94.0
- (1 1 1), 2θ = 40.2°, I = 100.0
- (2 0 0), 2θ = 46.8°, I = 55.0
- (2 1 0), 2θ = 52.7°, I = 35.7
- (2 1 1), 2θ = 58.2°, I = 37.1